Starting from DFT lattice parameters and positions (PBE), the X-ray powder pattern of Na3TmO3 was simulated for Cu Kα X-rays.
Lines closer than 0.1° are merged.

The 10 most intense peaks (15 to 90 degrees two-theta), by angle:
| d_spacing | two_theta | I_rel |
| --- | --- | --- |
| 5.695 | 15.56 | 100 |
| 5.496 | 16.13 | 18 |
| 4.974 | 17.83 | 36 |
| 2.850 | 31.38 | 57 |
| 2.748 | 32.58 | 23 |
| 2.487 | 36.12 | 15 |
| 2.391 | 37.62 | 42 |
| 2.254 | 40.00 | 16 |
| 2.155 | 41.92 | 16 |
| 1.724 | 53.14 | 18 |

Structural model:
Cell lengths 6.904, 6.904, 6.904 Å; angles 122.95, 119.61, 87.82 degrees
Positions (direct):
Na 0.000 0.224 0.224
Na 0.000 0.776 0.776
Na 0.472 0.222 0.250
Na 0.500 0.224 0.724
Na 0.500 0.776 0.276
Na 0.528 0.778 0.750
Tm 0.033 0.783 0.250
Tm 0.967 0.217 0.750
O 0.216 0.000 0.716
O 0.216 0.500 0.216
O 0.240 0.990 0.250
O 0.760 0.010 0.750
O 0.784 0.000 0.284
O 0.784 0.500 0.784

=====

Starting from DFT lattice parameters and positions (PBE), the X-ray powder pattern of YMg2Au8 was simulated for Cu Kα X-rays.
Lines closer than 0.1° are merged.

The 10 most intense peaks (15 to 90 degrees two-theta), by angle:
| d_spacing | two_theta | I_rel |
| --- | --- | --- |
| 2.435 | 36.91 | 100 |
| 2.142 | 42.19 | 17 |
| 2.106 | 42.95 | 17 |
| 2.081 | 43.49 | 15 |
| 1.502 | 61.78 | 11 |
| 1.480 | 62.78 | 10 |
| 1.287 | 73.59 | 7 |
| 1.285 | 73.73 | 7 |
| 1.270 | 74.72 | 13 |
| 1.219 | 78.48 | 6 |

Structural model:
Cell lengths 7.848, 7.848, 6.760 Å; angles 105.81, 105.81, 31.13 degrees
Positions (direct):
Y 0.000 0.000 0.000
Mg 0.277 0.277 0.344
Mg 0.723 0.723 0.656
Au 0.105 0.105 0.461
Au 0.182 0.182 0.909
Au 0.356 0.356 0.798
Au 0.457 0.457 0.279
Au 0.543 0.543 0.721
Au 0.644 0.644 0.202
Au 0.818 0.818 0.091
Au 0.895 0.895 0.539